Entry 1:
Structure and simulated powder X-ray diffraction pattern of KGeAuSeS2 (a DFT-relaxed cell (GGA-PBE, OQMD); Cu Kα X-rays).
No peak broadening, texture or thermal motion is included.

Structure:
```
data_KGeAuSeS2
_space_group_name_H-M_alt 'C m c m'
_space_group_IT_number 63
_space_group_name_Hall '-C 2c 2'
_cell_length_a 3.6097
_cell_length_b 16.3997
_cell_length_c 10.1793
_cell_angle_alpha 90.00
_cell_angle_beta 90.00
_cell_angle_gamma 90.00
loop_
_atom_site_label
_atom_site_fract_x
_atom_site_fract_y
_atom_site_fract_z
K1 0.0000 0.2140 0.2500
Ge1 0.0000 0.5000 0.0000
Au1 0.0000 0.1152 0.7500
Se1 0.0000 0.4543 0.7500
S1 0.0000 0.1076 0.5234
```

Peak list (10 most intense, 10 to 90 degrees two-theta, sorted by position)
- d = 8.200 Å, rel. 87.5, hkl 0 2 0
- d = 6.386 Å, rel. 92.7, hkl 0 2 1
- d = 5.090 Å, rel. 42.8, hkl 0 0 2
- d = 3.012 Å, rel. 69.8, hkl 1 3 0
- d = 2.888 Å, rel. 100.0, hkl 1 3 1
- d = 2.640 Å, rel. 54.1, hkl 0 6 1
- d = 2.545 Å, rel. 50.8, hkl 0 0 4
- d = 2.428 Å, rel. 46.0, hkl 1 5 0
- d = 2.253 Å, rel. 37.9, hkl 1 3 3
- d = 1.944 Å, rel. 37.5, hkl 1 3 4

***

Entry 2:
Structure and simulated powder X-ray diffraction pattern of DyEr2Al7Cu2 (a DFT-relaxed cell (GGA-PBE, OQMD); Cu Kα X-rays).
No peak broadening, texture or thermal motion is included.

Structure:
```
data_DyEr2Al7Cu2
_space_group_name_H-M_alt 'R -3 m'
_space_group_IT_number 166
_space_group_name_Hall '-R 3 2"'
_cell_length_a 5.4659
_cell_length_b 5.4659
_cell_length_c 25.3480
_cell_angle_alpha 90.00
_cell_angle_beta 90.00
_cell_angle_gamma 120.00
loop_
_atom_site_label
_atom_site_fract_x
_atom_site_fract_y
_atom_site_fract_z
Dy1 0.0000 0.0000 0.0000
Er1 0.0000 0.0000 0.1422
Al1 0.0000 0.0000 0.5000
Al2 0.0063 0.5031 0.9210
Cu1 0.0000 0.0000 0.3353
```

Peak list (10 most intense, 10 to 90 degrees two-theta, sorted by position)
- d = 4.653 Å, rel. 44.3, hkl 1 0 1
- d = 4.225 Å, rel. 31.9, hkl 0 0 6
- d = 2.876 Å, rel. 52.7, hkl 1 0 7
- d = 2.733 Å, rel. 88.9, hkl 1 1 0
- d = 2.633 Å, rel. 32.5, hkl 0 1 8
- d = 2.357 Å, rel. 27.4, hkl 0 2 1
- d = 2.295 Å, rel. 100.0, hkl 1 1 6
- d = 1.604 Å, rel. 19.3, hkl 2 1 7
- d = 1.478 Å, rel. 24.5, hkl 3 0 6
- d = 1.438 Å, rel. 27.0, hkl 2 0 14

***

Entry 3:
Structure and simulated powder X-ray diffraction pattern of CuSi17Ge13P (a DFT-relaxed cell (GGA-PBE, OQMD); Cu Kα X-rays).
No peak broadening, texture or thermal motion is included.

Structure:
```
data_CuSi17Ge13P
_space_group_name_H-M_alt 'P 1 m 1'
_space_group_IT_number 6
_space_group_name_Hall 'P -2y'
_cell_length_a 5.6090
_cell_length_b 3.9461
_cell_length_c 30.8512
_cell_angle_alpha 90.00
_cell_angle_beta 90.13
_cell_angle_gamma 90.00
loop_
_atom_site_label
_atom_site_fract_x
_atom_site_fract_y
_atom_site_fract_z
Cu1 0.0000 0.0000 0.0000
Si1 0.1969 0.5000 0.6286
Si2 0.2004 0.5000 0.1205
Si3 0.2072 0.5000 0.3758
Si4 0.4509 0.5000 0.1819
Si5 0.4563 0.5000 0.6891
Si6 0.4580 0.5000 0.4371
Si7 0.4591 0.5000 0.9454
Si8 0.6910 0.0000 0.1813
Si9 0.6913 0.0000 0.9496
Si10 0.6962 0.0000 0.4384
Si11 0.6978 0.0000 0.6904
Si12 0.7002 0.0000 0.0510
Si13 0.7067 0.0000 0.8173
Si14 0.9411 0.0000 0.2436
Si15 0.9439 0.0000 0.7536
Si16 0.9466 0.0000 0.4998
Si17 0.9568 0.0000 0.6293
Ge1 0.1914 0.5000 0.2447
Ge2 0.1958 0.5000 0.4991
Ge3 0.1959 0.5000 0.7517
Ge4 0.2067 0.5000 0.8820
Ge5 0.4438 0.5000 0.3108
Ge6 0.4457 0.5000 0.5649
Ge7 0.4574 0.5000 0.0580
Ge8 0.4570 0.5000 0.8165
Ge9 0.7058 0.0000 0.3094
Ge10 0.7082 0.0000 0.5649
Ge11 0.9445 0.0000 0.8843
Ge12 0.9505 0.0000 0.1169
Ge13 0.9576 0.0000 0.3759
P1 0.1929 0.5000 0.9995
```

Peak list (10 most intense, 10 to 90 degrees two-theta, sorted by position)
- d = 7.713 Å, rel. 17.0, hkl 0 0 4
- d = 3.227 Å, rel. 100.0, hkl 1 1 0
- d = 3.178 Å, rel. 96.8, hkl 1 0 8
- d = 1.973 Å, rel. 24.7, hkl 0 2 0
- d = 1.966 Å, rel. 89.9, hkl 2 1 -8
- d = 1.928 Å, rel. 18.0, hkl 0 0 16
- d = 1.690 Å, rel. 15.8, hkl 3 1 0
- d = 1.676 Å, rel. 28.2, hkl 1 2 8
- d = 1.655 Å, rel. 21.0, hkl 1 1 -16
- d = 1.280 Å, rel. 16.2, hkl 1 3 0

***

Entry 4:
Structure and simulated powder X-ray diffraction pattern of Er2P3 (a DFT-relaxed cell (GGA-PBE, OQMD); Cu Kα X-rays).
No peak broadening, texture or thermal motion is included.

Structure:
```
data_Er2P3
_space_group_name_H-M_alt 'F d d d'
_space_group_IT_number 70
_cell_length_a 6.5293
_cell_length_b 10.9518
_cell_length_c 28.8276
_cell_angle_alpha 90.00
_cell_angle_beta 90.00
_cell_angle_gamma 90.00
loop_
_space_group_symop_operation_xyz
'x,y,z'
'-x,-y,-z'
'-x+1/4,-y+1/4,z'
'x+1/4,y+1/4,-z'
'x,-y+1/4,-z+1/4'
'-x,y+1/4,z+1/4'
'-x+1/4,y,-z+1/4'
'x+1/4,-y,z+1/4'
'x,y+1/2,z+1/2'
'-x,-y+1/2,-z+1/2'
'-x+1/4,-y+3/4,z+1/2'
'x+1/4,y+3/4,-z+1/2'
'x,-y+3/4,-z+3/4'
'-x,y+3/4,z+3/4'
'-x+1/4,y+1/2,-z+3/4'
'x+1/4,-y+1/2,z+3/4'
'x+1/2,y,z+1/2'
'-x+1/2,-y,-z+1/2'
'-x+3/4,-y+1/4,z+1/2'
'x+3/4,y+1/4,-z+1/2'
'x+1/2,-y+1/4,-z+3/4'
'-x+1/2,y+1/4,z+3/4'
'-x+3/4,y,-z+3/4'
'x+3/4,-y,z+3/4'
'x+1/2,y+1/2,z'
'-x+1/2,-y+1/2,-z'
'-x+3/4,-y+3/4,z'
'x+3/4,y+3/4,-z'
'x+1/2,-y+3/4,-z+1/4'
'-x+1/2,y+3/4,z+1/4'
'-x+3/4,y+1/2,-z+1/4'
'x+3/4,-y+1/2,z+1/4'
loop_
_atom_site_label
_atom_site_fract_x
_atom_site_fract_y
_atom_site_fract_z
Er1 0.1250 0.1250 0.0386
Er2 0.1250 0.1250 0.3903
P1 0.0451 0.3611 0.5496
P2 0.0506 0.3750 0.3750
```

Peak list (10 most intense, 10 to 90 degrees two-theta, sorted by position)
- d = 5.505 Å, rel. 100.0, hkl 1 1 1
- d = 4.020 Å, rel. 72.6, hkl 1 1 5
- d = 3.611 Å, rel. 71.3, hkl 0 2 6
- d = 2.804 Å, rel. 64.9, hkl 2 2 0
- d = 2.787 Å, rel. 43.3, hkl 1 3 5
- d = 2.738 Å, rel. 68.9, hkl 0 4 0
- d = 2.700 Å, rel. 93.7, hkl 2 0 6
- d = 2.374 Å, rel. 60.2, hkl 1 1 11
- d = 2.024 Å, rel. 39.3, hkl 1 3 11
- d = 1.923 Å, rel. 68.4, hkl 2 4 6

***

Entry 5:
Structure and simulated powder X-ray diffraction pattern of DyEr4Lu2Te2Pd2 (a DFT-relaxed cell (GGA-PBE, OQMD); Cu Kα X-rays).
No peak broadening, texture or thermal motion is included.

Structure:
```
data_DyEr4Lu2Te2Pd2
_space_group_name_H-M_alt 'I m m 2'
_space_group_IT_number 44
_space_group_name_Hall 'I 2 -2'
_cell_length_a 3.9170
_cell_length_b 15.5135
_cell_length_c 9.5282
_cell_angle_alpha 90.00
_cell_angle_beta 90.00
_cell_angle_gamma 90.00
loop_
_atom_site_label
_atom_site_fract_x
_atom_site_fract_y
_atom_site_fract_z
Dy1 0.0000 0.0000 0.0000
Er1 0.0000 0.1305 0.5839
Er2 0.0000 0.3558 0.7353
Lu1 0.0000 0.3169 0.3745
Te1 0.0000 0.0000 0.3388
Te2 0.0000 0.5000 0.2351
Pd1 0.0000 0.2361 0.0685
```

Peak list (10 most intense, 10 to 90 degrees two-theta, sorted by position)
- d = 2.970 Å, rel. 48.6, hkl 1 1 2
- d = 2.950 Å, rel. 22.0, hkl 0 5 1
- d = 2.706 Å, rel. 62.4, hkl 0 3 3
- d = 2.647 Å, rel. 100.0, hkl 1 4 1
- d = 2.611 Å, rel. 51.8, hkl 1 3 2
- d = 2.467 Å, rel. 23.1, hkl 1 0 3
- d = 2.351 Å, rel. 20.9, hkl 1 2 3
- d = 1.959 Å, rel. 29.3, hkl 2 0 0
- d = 1.787 Å, rel. 27.0, hkl 0 3 5
- d = 1.587 Å, rel. 30.1, hkl 2 3 3

***

Entry 6:
Structure and simulated powder X-ray diffraction pattern of Zn2Si2AsN3 (a DFT-relaxed cell (GGA-PBE, OQMD); Cu Kα X-rays).
No peak broadening, texture or thermal motion is included.

Structure:
```
data_Zn2Si2AsN3
_space_group_name_H-M_alt 'C 1 2 1'
_space_group_IT_number 5
_space_group_name_Hall 'C 2y'
_cell_length_a 9.6718
_cell_length_b 4.7414
_cell_length_c 4.9927
_cell_angle_alpha 90.00
_cell_angle_beta 116.38
_cell_angle_gamma 90.00
loop_
_atom_site_label
_atom_site_fract_x
_atom_site_fract_y
_atom_site_fract_z
Zn1 0.1413 0.0000 0.3510
Si1 0.1399 0.4323 0.9185
As1 0.0000 0.6892 0.5000
N1 0.0000 0.2624 0.0000
N2 0.2479 0.6976 0.1769
```

Peak list (10 most intense, 10 to 90 degrees two-theta, sorted by position)
- d = 4.473 Å, rel. 23.3, hkl 0 0 1
- d = 3.433 Å, rel. 24.3, hkl 1 1 -1
- d = 2.766 Å, rel. 89.4, hkl 1 1 1
- d = 2.621 Å, rel. 100.0, hkl 3 1 -1
- d = 2.590 Å, rel. 21.1, hkl 2 0 1
- d = 2.467 Å, rel. 28.7, hkl 3 1 0
- d = 2.172 Å, rel. 32.6, hkl 1 1 -2
- d = 2.061 Å, rel. 23.7, hkl 2 2 -1
- d = 1.716 Å, rel. 33.4, hkl 2 2 -2
- d = 1.599 Å, rel. 34.3, hkl 4 2 0

***

Entry 7:
Structure and simulated powder X-ray diffraction pattern of Nd2FeSi2Os (a DFT-relaxed cell (GGA-PBE, OQMD); Cu Kα X-rays).
No peak broadening, texture or thermal motion is included.

Structure:
```
data_Nd2FeSi2Os
_space_group_name_H-M_alt 'P -4 m 2'
_space_group_IT_number 115
_space_group_name_Hall 'P -4 -2'
_cell_length_a 4.1334
_cell_length_b 4.1334
_cell_length_c 6.9869
_cell_angle_alpha 90.00
_cell_angle_beta 90.00
_cell_angle_gamma 90.00
loop_
_atom_site_label
_atom_site_fract_x
_atom_site_fract_y
_atom_site_fract_z
Nd1 0.0000 0.5000 0.1785
Fe1 0.5000 0.5000 0.5000
Si1 0.0000 0.5000 0.6730
Os1 0.0000 0.0000 0.5000
```

Peak list (10 most intense, 10 to 90 degrees two-theta, sorted by position)
- d = 6.987 Å, rel. 45.1, hkl 0 0 1
- d = 3.557 Å, rel. 98.0, hkl 1 0 1
- d = 2.696 Å, rel. 95.6, hkl 1 1 1
- d = 2.668 Å, rel. 71.2, hkl 1 0 2
- d = 2.329 Å, rel. 29.6, hkl 0 0 3
- d = 2.242 Å, rel. 100.0, hkl 1 1 2
- d = 2.067 Å, rel. 65.4, hkl 2 0 0
- d = 1.787 Å, rel. 29.5, hkl 2 1 1
- d = 1.634 Å, rel. 32.7, hkl 2 1 2
- d = 1.546 Å, rel. 33.0, hkl 2 0 3